Record 1
This entry pairs a crystal structure of ZnIn6Hg10 with its theoretical powder X-ray diffraction pattern. Radiation: a wavelength of 1.5418 Å. Structure: a structure optimized by DFT (GGA-PBE).
Neutral-atom scattering factors, no anomalous dispersion.

Principal peaks in the range 10° ≤ 2θ ≤ 90°, most intense first:
Position (°2θ)	I (rel.)
35.8	100
32.4	92
33.0	88
29.5	31
35.5	28
42.2	27
32.2	26
35.4	22
31.5	19
55.3	19
56.3	16
68.1	12

Crystal structure
a b c (Å): 6.146 8.637 8.727
angles (deg): 79.96 83.71 76.70
Sites, in units of the cell vectors:
Zn1 0.000 0.000 0.000
In1 0.040 0.210 0.352
In2 0.312 0.428 0.731
In3 0.443 0.309 0.102
In4 0.557 0.691 0.898
In5 0.688 0.572 0.269
In6 0.960 0.790 0.648
Hg1 0.075 0.664 0.007
Hg2 0.140 0.094 0.694
Hg3 0.195 0.554 0.369
Hg4 0.394 0.936 0.168
Hg5 0.449 0.802 0.537
Hg6 0.551 0.198 0.463
Hg7 0.606 0.064 0.832
Hg8 0.805 0.446 0.631
Hg9 0.860 0.906 0.306
Hg10 0.925 0.336 0.993



Record 2
This entry pairs a crystal structure of ZnIn8Hg2 with its theoretical powder X-ray diffraction pattern. Radiation: a wavelength of 1.5418 Å. Structure: a structure optimized by DFT (GGA-PBE).
Neutral-atom scattering factors, no anomalous dispersion.

Principal peaks in the range 10° ≤ 2θ ≤ 90°, most intense first:
Position (°2θ)	I (rel.)
33.0	100
35.1	80
31.6	71
30.9	67
30.1	64
37.9	59
39.0	32
37.4	25
42.3	25
41.1	22
26.7	21
33.1	21

Crystal structure
a b c (Å): 5.474 7.037 8.350
angles (deg): 104.88 95.69 107.07
Sites, in units of the cell vectors:
Zn1 0.000 0.000 0.000
In1 0.073 0.120 0.362
In2 0.225 0.422 0.068
In3 0.233 0.518 0.710
In4 0.477 0.924 0.157
In5 0.523 0.076 0.843
In6 0.767 0.482 0.290
In7 0.775 0.578 0.932
In8 0.927 0.880 0.638
Hg1 0.363 0.727 0.441
Hg2 0.637 0.273 0.559



Record 3
This entry pairs a crystal structure of ZnIn5Hg2 with its theoretical powder X-ray diffraction pattern. Radiation: a wavelength of 1.5418 Å. Structure: a structure optimized by DFT (GGA-PBE).
Neutral-atom scattering factors, no anomalous dispersion.

Principal peaks in the range 10° ≤ 2θ ≤ 90°, most intense first:
Position (°2θ)	I (rel.)
36.8	100
30.2	95
31.8	63
38.1	63
32.0	54
34.8	51
32.6	31
66.8	23
35.4	22
39.8	21
21.2	21
15.0	17

Crystal structure
a b c (Å): 6.371 6.371 14.708
angles (deg): 90.00 90.00 136.53
Sites, in units of the cell vectors:
Zn1 0.216 0.784 0.750
Zn2 0.784 0.216 0.250
In1 0.047 0.953 0.605
In2 0.047 0.953 0.895
In3 0.364 0.636 0.539
In4 0.364 0.636 0.961
In5 0.481 0.519 0.750
In6 0.519 0.481 0.250
In7 0.636 0.364 0.039
In8 0.636 0.364 0.461
In9 0.953 0.047 0.105
In10 0.953 0.047 0.395
Hg1 0.237 0.763 0.145
Hg2 0.237 0.763 0.355
Hg3 0.763 0.237 0.645
Hg4 0.763 0.237 0.855



Record 4
This entry pairs a crystal structure of ZnIn6Hg7 with its theoretical powder X-ray diffraction pattern. Radiation: a wavelength of 1.5418 Å. Structure: a structure optimized by DFT (GGA-PBE).
Neutral-atom scattering factors, no anomalous dispersion.

Principal peaks in the range 10° ≤ 2θ ≤ 90°, most intense first:
Position (°2θ)	I (rel.)
32.8	100
32.5	87
33.2	71
34.0	60
39.9	29
26.8	26
34.6	26
65.1	22
29.8	21
35.4	20
33.8	20
38.7	19

Crystal structure
a b c (Å): 11.497 11.497 11.497
angles (deg): 149.74 100.03 87.82
Sites, in units of the cell vectors:
Zn1 0.250 0.250 0.000
Zn2 0.750 0.750 0.000
In1 0.003 0.113 0.465
In2 0.148 0.613 0.110
In3 0.219 0.563 0.782
In4 0.281 0.063 0.344
In5 0.352 0.462 0.465
In6 0.497 0.962 0.110
In7 0.503 0.038 0.890
In8 0.648 0.538 0.535
In9 0.719 0.937 0.656
In10 0.781 0.437 0.218
In11 0.852 0.387 0.890
In12 0.997 0.887 0.535
Hg1 0.019 0.305 0.075
Hg2 0.048 0.258 0.306
Hg3 0.230 0.944 0.925
Hg4 0.250 0.750 0.500
Hg5 0.270 0.195 0.713
Hg6 0.452 0.758 0.210
Hg7 0.481 0.556 0.287
Hg8 0.519 0.444 0.713
Hg9 0.548 0.242 0.790
Hg10 0.730 0.805 0.287
Hg11 0.750 0.250 0.500
Hg12 0.770 0.056 0.075
Hg13 0.952 0.742 0.694
Hg14 0.981 0.695 0.925



Record 5
This entry pairs a crystal structure of Zr6In2Hg with its theoretical powder X-ray diffraction pattern. Radiation: a wavelength of 1.5418 Å. Structure: a structure optimized by DFT (GGA-PBE).
Neutral-atom scattering factors, no anomalous dispersion.

Principal peaks in the range 10° ≤ 2θ ≤ 90°, most intense first:
Position (°2θ)	I (rel.)
34.6	100
40.0	32
69.3	23
58.2	21
40.4	17
69.7	13
57.9	10
73.0	10
13.1	6
28.9	4
86.4	3
22.0	3

Crystal structure
a b c (Å): 9.552 9.552 4.470
angles (deg): 90.00 90.00 90.00
Sites, in units of the cell vectors:
Zr1 0.004 0.332 0.000
Zr2 0.155 0.845 0.500
Zr3 0.168 0.504 0.500
Zr4 0.332 0.004 0.000
Zr5 0.345 0.345 0.000
Zr6 0.496 0.832 0.500
Zr7 0.504 0.168 0.500
Zr8 0.655 0.655 0.000
Zr9 0.668 0.996 0.000
Zr10 0.832 0.496 0.500
Zr11 0.845 0.155 0.500
Zr12 0.996 0.668 0.000
In1 0.180 0.180 0.500
In2 0.320 0.680 0.000
In3 0.680 0.320 0.000
In4 0.820 0.820 0.500
Hg1 0.000 0.000 0.000
Hg2 0.500 0.500 0.500



Record 6
This entry pairs a crystal structure of Zr8In2Hg3 with its theoretical powder X-ray diffraction pattern. Radiation: a wavelength of 1.5418 Å. Structure: a structure optimized by DFT (GGA-PBE).
Neutral-atom scattering factors, no anomalous dispersion.

Principal peaks in the range 10° ≤ 2θ ≤ 90°, most intense first:
Position (°2θ)	I (rel.)
35.0	100
35.7	68
38.1	42
24.6	34
39.6	33
67.3	19
36.4	18
66.8	15
41.7	15
27.1	15
58.2	14
53.2	13

Crystal structure
a b c (Å): 10.709 10.709 10.709
angles (deg): 154.51 142.52 45.88
Sites, in units of the cell vectors:
Zr1 0.093 0.093 0.000
Zr2 0.094 0.361 0.733
Zr3 0.336 0.836 0.500
Zr4 0.372 0.639 0.733
Zr5 0.628 0.361 0.267
Zr6 0.664 0.164 0.500
Zr7 0.906 0.639 0.267
Zr8 0.907 0.907 0.000
In1 0.235 0.235 0.000
In2 0.765 0.765 0.000
Hg1 0.000 0.500 0.500
Hg2 0.310 0.000 0.310
Hg3 0.690 0.000 0.690



Record 7
This entry pairs a crystal structure of Hg2Ir with its theoretical powder X-ray diffraction pattern. Radiation: a wavelength of 1.5418 Å. Structure: a structure optimized by DFT (GGA-PBE).
Neutral-atom scattering factors, no anomalous dispersion.

Principal peaks in the range 10° ≤ 2θ ≤ 90°, most intense first:
Position (°2θ)	I (rel.)
39.1	100
35.5	29
26.5	25
63.8	22
56.9	22
41.7	19
77.5	14
31.9	14
44.9	13
37.2	11
70.3	10
37.4	9

Crystal structure
a b c (Å): 2.916 2.916 16.845
angles (deg): 90.00 90.00 120.00
Sites, in units of the cell vectors:
Hg1 0.333 0.667 0.100
Hg2 0.333 0.667 0.710
Hg3 0.667 0.333 0.290
Hg4 0.667 0.333 0.900
Ir1 0.333 0.667 0.439
Ir2 0.667 0.333 0.561



Record 8
This entry pairs a crystal structure of Hg2Ir with its theoretical powder X-ray diffraction pattern. Radiation: a wavelength of 1.5418 Å. Structure: a structure optimized by DFT (GGA-PBE).
Neutral-atom scattering factors, no anomalous dispersion.

Principal peaks in the range 10° ≤ 2θ ≤ 90°, most intense first:
Position (°2θ)	I (rel.)
39.7	100
40.9	83
34.2	73
34.7	58
38.5	50
36.1	43
31.9	42
17.3	41
74.6	35
56.3	35
36.8	34
19.5	27

Crystal structure
a b c (Å): 5.323 5.323 10.517
angles (deg): 116.03 116.03 32.13
Sites, in units of the cell vectors:
Hg1 0.041 0.041 0.145
Hg2 0.120 0.120 0.659
Hg3 0.880 0.880 0.341
Hg4 0.959 0.959 0.855
Ir1 0.356 0.356 0.593
Ir2 0.644 0.644 0.407



Record 9
This entry pairs a crystal structure of HgIr5 with its theoretical powder X-ray diffraction pattern. Radiation: a wavelength of 1.5418 Å. Structure: a structure optimized by DFT (GGA-PBE).
Neutral-atom scattering factors, no anomalous dispersion.

Principal peaks in the range 10° ≤ 2θ ≤ 90°, most intense first:
Position (°2θ)	I (rel.)
42.3	100
41.8	49
39.7	40
37.1	24
73.8	20
80.0	19
66.2	16
55.5	15
82.5	14
36.5	12
81.1	10
73.4	10

Crystal structure
a b c (Å): 4.545 7.510 7.510
angles (deg): 21.34 90.00 90.00
Sites, in units of the cell vectors:
Hg1 0.000 0.000 0.000
Ir1 0.000 0.324 0.324
Ir2 0.000 0.671 0.671
Ir3 0.500 0.116 0.116
Ir4 0.500 0.434 0.434
Ir5 0.500 0.778 0.778



Record 10
This entry pairs a crystal structure of HgIr5 with its theoretical powder X-ray diffraction pattern. Radiation: a wavelength of 1.5418 Å. Structure: a structure optimized by DFT (GGA-PBE).
Neutral-atom scattering factors, no anomalous dispersion.

Principal peaks in the range 10° ≤ 2θ ≤ 90°, most intense first:
Position (°2θ)	I (rel.)
42.2	100
37.2	25
39.1	24
80.4	18
67.0	18
82.4	15
73.0	14
55.1	14
80.0	4
45.8	3
79.2	3
66.5	3

Crystal structure
a b c (Å): 2.794 2.794 13.810
angles (deg): 90.00 90.00 120.00
Sites, in units of the cell vectors:
Hg1 0.000 0.000 0.000
Ir1 0.000 0.000 0.342
Ir2 0.000 0.000 0.658
Ir3 0.667 0.333 0.185
Ir4 0.667 0.333 0.500
Ir5 0.667 0.333 0.815



Record 11
This entry pairs a crystal structure of Hg2Ir with its theoretical powder X-ray diffraction pattern. Radiation: a wavelength of 1.5418 Å. Structure: a structure optimized by DFT (GGA-PBE).
Neutral-atom scattering factors, no anomalous dispersion.

Principal peaks in the range 10° ≤ 2θ ≤ 90°, most intense first:
Position (°2θ)	I (rel.)
39.3	100
37.0	26
34.5	24
74.4	21
68.3	19
61.9	18
51.5	15
75.8	15
84.6	4
89.0	3
72.8	3
78.9	3

Crystal structure
a b c (Å): 5.706 5.706 5.706
angles (deg): 54.16 54.16 54.16
Sites, in units of the cell vectors:
Hg1 0.000 0.000 0.000
Hg2 0.177 0.823 0.500
Hg3 0.500 0.177 0.823
Hg4 0.823 0.500 0.177
Ir1 0.325 0.325 0.325
Ir2 0.675 0.675 0.675



Record 12
This entry pairs a crystal structure of KHgIr with its theoretical powder X-ray diffraction pattern. Radiation: a wavelength of 1.5418 Å. Structure: a structure optimized by DFT (GGA-PBE).
Neutral-atom scattering factors, no anomalous dispersion.

Principal peaks in the range 10° ≤ 2θ ≤ 90°, most intense first:
Position (°2θ)	I (rel.)
15.1	100
36.0	41
39.2	40
30.4	37
47.8	30
43.3	15
40.3	15
51.3	12
60.0	7
78.7	7
72.6	7
70.3	7

Crystal structure
a b c (Å): 6.468 6.468 6.468
angles (deg): 153.12 139.54 49.24
Sites, in units of the cell vectors:
K1 0.000 0.000 0.000
Hg1 0.731 0.731 0.000
Ir1 0.268 0.268 0.000